1.
This entry pairs a crystal structure of SrAgP with its simulated XRD peak list. Radiation: a wavelength of 1.5418 Å. Structure: the PBE geometry in the Materials Project.

Structural model:
```
data_SrAgP
_space_group_name_H-M_alt 'P 1'
_space_group_IT_number 1
_cell_length_a 4.434
_cell_length_b 4.434
_cell_length_c 8.395
_cell_angle_alpha 90.00
_cell_angle_beta 90.00
_cell_angle_gamma 120.00
loop_
_space_group_symop_operation_xyz
'x,y,z'
loop_
_atom_site_label
_atom_site_fract_x
_atom_site_fract_y
_atom_site_fract_z
_atom_site_occupancy
Sr1 0.000 0.000 0.000 1
Sr2 0.000 0.000 0.500 1
Ag1 0.333 0.667 0.250 1
Ag2 0.667 0.333 0.750 1
P1 0.333 0.667 0.750 1
P2 0.667 0.333 0.250 1
```

The 6 most intense peaks (2θ = 10–90°), in order of rising 2θ:
hkl 1 0 1, 25.51°, rel. 330
hkl 1 0 2, 31.58°, rel. 1000
hkl 1 1 0, 40.69°, rel. 513
hkl 2 0 2, 52.40°, rel. 229
hkl 1 1 4, 60.77°, rel. 301
hkl 2 1 2, 68.39°, rel. 203

---

2.
This entry pairs a crystal structure of Li2Mg3Ti6O16 with its simulated XRD peak list. Radiation: a wavelength of 1.5418 Å. Structure: the PBE geometry in the Materials Project.

Structural model:
```
data_Li2Mg3Ti6O16
_space_group_name_H-M_alt 'P 1'
_space_group_IT_number 1
_cell_length_a 8.478
_cell_length_b 8.474
_cell_length_c 8.483
_cell_angle_alpha 90.00
_cell_angle_beta 90.26
_cell_angle_gamma 90.00
loop_
_space_group_symop_operation_xyz
'x,y,z'
loop_
_atom_site_label
_atom_site_fract_x
_atom_site_fract_y
_atom_site_fract_z
_atom_site_occupancy
Li1 0.005 0.000 0.252 1
Li2 0.125 0.622 0.126 1
Li3 0.875 0.122 0.874 1
Li4 0.995 0.500 0.748 1
Mg1 0.242 0.753 0.502 1
Mg2 0.250 0.245 0.006 1
Mg3 0.498 0.993 0.756 1
Mg4 0.502 0.493 0.244 1
Mg5 0.750 0.745 0.994 1
Mg6 0.758 0.253 0.498 1
Ti1 0.117 0.871 0.884 1
Ti2 0.127 0.134 0.630 1
Ti3 0.132 0.377 0.383 1
Ti4 0.364 0.613 0.868 1
Ti5 0.375 0.866 0.134 1
Ti6 0.381 0.123 0.384 1
Ti7 0.619 0.623 0.616 1
Ti8 0.625 0.366 0.866 1
Ti9 0.636 0.113 0.132 1
Ti10 0.868 0.877 0.617 1
Ti11 0.873 0.634 0.370 1
Ti12 0.883 0.371 0.116 1
O1 0.105 0.370 0.139 1
O2 0.110 0.352 0.608 1
O3 0.110 0.885 0.640 1
O4 0.111 0.603 0.378 1
O5 0.131 0.109 0.856 1
O6 0.140 0.138 0.391 1
O7 0.142 0.875 0.103 1
O8 0.145 0.638 0.872 1
O9 0.352 0.355 0.357 1
O10 0.359 0.105 0.605 1
O11 0.360 0.890 0.353 1
O12 0.361 0.859 0.888 1
O13 0.380 0.643 0.111 1
O14 0.388 0.108 0.138 1
O15 0.392 0.394 0.893 1
O16 0.396 0.640 0.641 1
O17 0.604 0.140 0.359 1
O18 0.608 0.894 0.107 1
O19 0.612 0.608 0.862 1
O20 0.620 0.143 0.889 1
O21 0.639 0.359 0.112 1
O22 0.640 0.390 0.647 1
O23 0.641 0.605 0.395 1
O24 0.648 0.855 0.643 1
O25 0.855 0.138 0.128 1
O26 0.858 0.375 0.897 1
O27 0.860 0.638 0.609 1
O28 0.869 0.609 0.144 1
O29 0.889 0.103 0.622 1
O30 0.890 0.385 0.360 1
O31 0.890 0.852 0.392 1
O32 0.895 0.870 0.861 1
```

The 6 most intense peaks (2θ = 10–90°), in order of rising 2θ:
hkl 0 1 1, 14.78°, rel. 379
hkl 1 1 1, 18.13°, rel. 784
hkl 1 0 2, 23.47°, rel. 501
hkl 3 1 -1, 35.09°, rel. 1000
hkl 4 0 0, 42.66°, rel. 837
hkl 4 4 0, 61.92°, rel. 535